This entry pairs a crystal structure of Li3Mn2V5O12 with its computed X-ray powder pattern. Radiation: Cu Kα X-rays. Structure: a DFT-relaxed cell (GGA+U, Alexandria).
Peak positions follow from Bragg's law for the DFT cell and can differ from measured ones.

Top 6 peaks for 2θ from 10° to 80°, in order of falling intensity:
2θ/deg  I (rel.)
42.75  100
41.61  55
18.26  53
22.74  44
61.80  39
60.58  28

Cell and atoms:
```
Li3Mn2V5O12
1.0
2.665 -4.501 0.000
2.665 4.501 0.000
-1.592 0.000 9.719
Li Mn V O
3 2 5 12
Direct
0.000 0.000 0.000 Li
0.071 0.391 0.247 Li
0.609 0.929 0.753 Li
0.161 0.839 0.500 Mn
0.674 0.326 0.000 Mn
0.346 0.654 0.000 V
0.423 0.079 0.246 V
0.498 0.502 0.500 V
0.839 0.161 0.500 V
0.921 0.577 0.754 V
0.118 0.698 0.126 O
0.155 0.158 0.380 O
0.183 0.523 0.615 O
0.302 0.882 0.874 O
0.382 0.338 0.107 O
0.477 0.817 0.385 O
0.583 0.240 0.624 O
0.662 0.618 0.893 O
0.687 0.034 0.108 O
0.760 0.417 0.376 O
0.842 0.845 0.620 O
0.966 0.313 0.892 O
```